Calculated powder XRD pattern
Compound: MgC2O6
Radiation: λ = 1.5418 Å (Cu Kα)
Structure: the PBE geometry in the Materials Project
Neutral-atom scattering factors, no anomalous dispersion.

```
MgC2O6
1.0
7.8584 0.0000 0.0000
0.0000 7.8776 0.0000
-1.4369 0.0000 8.9396
Mg C O
4 8 24
Cartesian
0.0000 0.0000 0.0000 Mg
-0.7184 3.9388 4.4698 Mg
3.2108 0.0000 4.4698 Mg
3.9292 3.9388 0.0000 Mg
0.8592 1.3991 2.8700 C
0.1408 2.5397 7.3399 C
1.7342 5.7914 4.3370 C
1.0157 6.0250 8.8068 C
5.4058 1.8526 0.1328 C
4.6874 2.0862 4.6026 C
6.2808 5.3379 1.5998 C
5.5623 6.4785 6.0696 C
0.3291 0.8682 1.8433 O
-0.3893 3.0707 6.3131 O
-0.5470 1.7459 8.0631 O
0.1715 2.1929 3.5933 O
1.1733 4.6720 4.5039 O
1.8918 7.1444 0.0341 O
2.1359 4.9634 0.5334 O
1.4175 6.8530 5.0032 O
2.0756 1.1387 3.1805 O
1.3572 2.8001 7.6503 O
1.9771 5.8193 7.9752 O
2.6955 5.9971 3.5054 O
3.7260 1.8805 5.4342 O
4.4444 2.0583 0.9644 O
5.0643 5.0775 1.2893 O
4.3459 6.7389 5.7592 O
5.0040 1.0246 3.9364 O
4.2856 2.9142 8.4062 O
4.5297 0.7332 8.9056 O
5.2482 3.2056 4.4358 O
6.2501 5.6847 5.3464 O
6.9685 6.1317 0.8766 O
6.8108 4.8070 2.6266 O
6.0924 7.0095 7.0964 O
```

Largest 12 diffraction maxima, sorted by position, 2θ = 5–70°:
d_spacing  Position (°2θ)  intensity
4.959  17.89  100.0
4.473  19.85  56.8
4.170  21.31  27.4
3.887  22.88  11.4
3.685  24.15  9.0
3.604  24.70  27.7
3.480  25.60  40.7
3.298  27.03  51.0
2.863  31.24  8.3
2.222  40.60  14.6
1.944  46.73  8.4
1.842  49.48  7.9

=====

Calculated powder XRD pattern
Compound: SiC
Radiation: λ = 1.5418 Å (Cu Kα)
Structure: the PBE geometry in the Materials Project
Neutral-atom scattering factors, no anomalous dispersion.

```
SiC
1.0
3.0920 0.0000 0.0000
-1.5460 2.6778 0.0000
0.0000 0.0000 5.0733
Si C
2 2
Cartesian
0.0000 1.7852 0.0000 Si
1.5460 0.8926 2.5367 Si
0.0000 1.7852 3.1667 C
1.5460 0.8926 0.6300 C
```

Largest 6 diffraction maxima, sorted by position, 2θ = 5–70°:
d_spacing  Position (°2θ)  intensity
2.678  33.46  74.4
2.537  35.39  50.9
2.368  38.00  100.0
1.842  49.50  26.9
1.546  59.82  45.5
1.430  65.25  46.6

=====

Calculated powder XRD pattern
Compound: Na2Ca5TiSi4O16F2
Radiation: λ = 1.5418 Å (Cu Kα)
Structure: the PBE geometry in the Materials Project
Neutral-atom scattering factors, no anomalous dispersion.

```
Na2Ca5TiSi4O16F2
1.0
5.7757 0.0000 0.0000
-0.0108 7.4532 0.0000
-2.0014 -1.9045 9.4056
Na Ca Ti Si O F
2 5 1 4 16 2
Cartesian
0.0000 0.0000 0.0000 Na
0.8737 3.7542 9.3716 Na
-0.0381 1.8593 5.9564 Ca
-0.0223 5.5652 5.9988 Ca
2.8786 1.9321 0.0605 Ca
3.7917 3.7227 3.4206 Ca
3.8074 0.0042 3.4132 Ca
5.6400 3.7894 0.1352 Ti
0.8742 1.5930 2.6285 Si
0.8989 5.8177 2.6947 Si
2.9142 -0.2497 6.7241 Si
2.8946 3.9703 6.8109 Si
-0.3858 1.9265 3.6014 O
-0.3848 5.5003 3.6455 O
0.7615 2.2600 1.1243 O
0.8331 5.0852 1.2089 O
0.7620 -0.0333 2.2743 O
-0.4083 1.6598 8.3179 O
1.4360 0.0300 6.1055 O
1.3989 3.6642 6.2545 O
2.3580 1.8961 3.1986 O
2.3458 5.5774 3.3882 O
4.0954 3.6797 1.0438 O
3.0023 5.5985 7.1508 O
3.0189 0.4835 8.2113 O
3.0488 3.3162 8.3196 O
4.1282 3.6470 5.8040 O
4.1743 0.0512 5.7486 O
-0.0218 5.7111 8.3035 F
3.7742 0.1031 1.1069 F
```

Largest 12 diffraction maxima, sorted by position, 2θ = 5–70°:
d_spacing  Position (°2θ)  intensity
4.048  21.96  20.2
3.133  28.49  81.6
3.019  29.59  100.0
3.009  29.69  71.6
2.679  33.45  45.8
2.545  35.26  26.3
2.280  39.53  20.3
1.931  47.06  23.5
1.923  47.26  24.2
1.863  48.88  37.1
1.703  53.84  24.2
1.598  57.68  17.3

=====

Calculated powder XRD pattern
Compound: Hg
Radiation: λ = 1.5418 Å (Cu Kα)
Structure: the PBE geometry in the Materials Project
Neutral-atom scattering factors, no anomalous dispersion.

```
Hg
1.0
-3.1025 3.1025 1.6377
3.1025 -3.1025 1.6377
3.1025 3.1025 -1.6377
Hg
2
Cartesian
3.1025 1.5512 0.4094 Hg
0.0000 1.5512 1.2283 Hg
```

Largest 10 diffraction maxima, sorted by position, 2θ = 5–70°:
d_spacing  Position (°2θ)  intensity
3.102  28.78  100.0
2.897  30.87  83.8
2.194  41.15  39.1
2.117  42.71  70.5
1.749  52.31  19.6
1.551  59.60  13.3
1.534  60.33  25.7
1.523  60.80  25.2
1.387  67.51  18.5
1.367  68.63  17.7

=====

Calculated powder XRD pattern
Compound: Tm2SnAu2
Radiation: λ = 1.5418 Å (Cu Kα)
Structure: the PBE geometry in the Materials Project
Neutral-atom scattering factors, no anomalous dispersion.

```
Tm2SnAu2
1.0
8.2986 0.0000 0.0000
0.0000 8.2986 0.0000
0.0000 0.0000 3.5204
Tm Sn Au
4 2 4
Cartesian
1.3533 2.7960 0.0000 Tm
2.7960 6.9453 0.0000 Tm
5.5026 1.3533 0.0000 Tm
6.9453 5.5026 0.0000 Tm
0.0000 0.0000 0.0000 Sn
4.1493 4.1493 0.0000 Sn
1.0677 5.2170 1.7602 Au
3.0816 1.0677 1.7602 Au
5.2170 7.2308 1.7602 Au
7.2308 3.0816 1.7602 Au
```

Largest 12 diffraction maxima, sorted by position, 2θ = 5–70°:
d_spacing  Position (°2θ)  intensity
5.868  15.10  15.9
3.019  29.59  12.9
2.624  34.17  46.4
2.554  35.14  100.0
2.302  39.14  7.4
2.075  43.63  10.3
1.956  46.42  7.5
1.926  47.18  11.9
1.760  51.95  10.4
1.747  52.36  7.5
1.462  63.66  15.8
1.412  66.20  18.8